[1]
This entry pairs a crystal structure of Pm6Pr5Pu with its computed PXRD pattern. Radiation: Cu Ka. Structure: a GGA-PBE-relaxed structure.
Peak positions follow from Bragg's law for the DFT cell and can differ from measured ones.

Principal peaks in the range 2θ from 10° to 80°, low angle first:
(hkl), 2theta, d [Å], Rel. int.
1 3 1, 29.87, 2.991, 100
0 0 4, 30.09, 2.970, 33
2 0 2, 34.69, 2.586, 67
0 6 0, 49.73, 1.833, 24
1 3 5, 50.01, 1.824, 24
4 0 0, 59.18, 1.561, 24

Structure:
Cell: 6.3450 11.0121 12.0720 Å, 90.00 100.22 90.00°
Space group C2/m (No. 12)
One atom of each set of equivalent atoms:
Pm 0.2462 0.1642 0.2465 (multiplicity 8)
Pm 0.2465 0.0000 0.7535 (multiplicity 4)
Pr 0.0000 0.1663 0.5000 (multiplicity 4)
Pr 0.0000 0.3334 0.0000 (multiplicity 4)
Pr 0.0000 0.5000 0.5000 (multiplicity 2)
Pu 0.0000 0.0000 0.0000 (multiplicity 2)

[2]
This entry pairs a crystal structure of Pm12Pr7Pu with its computed PXRD pattern. Radiation: Cu Ka. Structure: a GGA-PBE-relaxed structure.
Peak positions follow from Bragg's law for the DFT cell and can differ from measured ones.

Principal peaks in the range 2θ from 10° to 80°, low angle first:
(hkl), 2theta, d [Å], Rel. int.
2 2 2, 26.53, 3.359, 75
4 0 0, 30.73, 2.909, 100
4 4 0, 44.02, 2.057, 74
6 2 2, 52.14, 1.754, 35
4 4 4, 54.64, 1.680, 26
8 4 0, 72.68, 1.301, 33

Structure:
Cell: 11.6366 11.6366 11.6366 Å, 90.00 90.00 90.00°
Space group Im-3m (No. 229)
One atom of each set of equivalent atoms:
Pm 0.0000 0.2455 0.2455 (multiplicity 24)
Pr 0.0000 0.0000 0.5000 (multiplicity 6)
Pr 0.2500 0.2500 0.2500 (multiplicity 8)
Pu 0.0000 0.0000 0.0000 (multiplicity 2)

[3]
This entry pairs a crystal structure of Pm2PrRh3 with its computed PXRD pattern. Radiation: Cu Ka. Structure: a GGA-PBE-relaxed structure.
Peak positions follow from Bragg's law for the DFT cell and can differ from measured ones.

Principal peaks in the range 2θ from 10° to 80°, low angle first:
(hkl), 2theta, d [Å], Rel. int.
1 0 1, 25.19, 3.536, 3
1 1 0, 35.92, 2.500, 100
2 0 2, 51.70, 1.768, 18
1 1 3, 58.36, 1.581, 1
3 0 0, 64.56, 1.444, 36
2 2 0, 76.15, 1.250, 11

Structure:
Cell: 5.0011 5.0011 6.1229 Å, 90.00 90.00 120.00°
Space group P-3m1 (No. 164)
One atom of each set of equivalent atoms:
Pm 0.3333 0.6667 0.1656 (multiplicity 2)
Pr 0.0000 0.0000 0.5000 (multiplicity 1)
Rh 0.0000 0.0000 0.0000 (multiplicity 1)
Rh 0.3333 0.6667 0.6713 (multiplicity 2)

[4]
This entry pairs a crystal structure of PmPr3Rh3 with its computed PXRD pattern. Radiation: Cu Ka. Structure: a GGA-PBE-relaxed structure.
Peak positions follow from Bragg's law for the DFT cell and can differ from measured ones.

Principal peaks in the range 2θ from 10° to 80°, low angle first:
(hkl), 2theta, d [Å], Rel. int.
1 1 -2, 31.90, 2.805, 100
2 0 2, 32.87, 2.724, 34
2 1 2, 34.78, 2.579, 42
2 2 0, 35.56, 2.525, 38
0 3 -1, 38.96, 2.312, 40
3 2 0, 46.73, 1.944, 31

Structure:
Cell: 6.8124 7.3048 7.4653 Å, 89.92 79.94 87.47°
Space group P-1 (No. 2)
One atom of each set of equivalent atoms:
Pm 0.2089 0.1456 0.2139 (multiplicity 2)
Pr 0.1999 0.6556 0.3654 (multiplicity 2)
Pr 0.2826 0.5031 0.8469 (multiplicity 2)
Pr 0.3042 0.0181 0.7160 (multiplicity 2)
Rh 0.0336 0.8025 0.0537 (multiplicity 2)
Rh 0.4422 0.3142 0.4535 (multiplicity 2)
Rh 0.4461 0.8070 0.0557 (multiplicity 2)

[5]
This entry pairs a crystal structure of PmPr4Rh2 with its computed PXRD pattern. Radiation: Cu Ka. Structure: a GGA-PBE-relaxed structure.
Peak positions follow from Bragg's law for the DFT cell and can differ from measured ones.

Principal peaks in the range 2θ from 10° to 80°, low angle first:
(hkl), 2theta, d [Å], Rel. int.
1 2 0, 29.41, 3.037, 100
1 2 -1, 29.88, 2.990, 57
1 0 2, 30.87, 2.897, 43
3 0 -1, 33.21, 2.698, 56
2 2 -1, 34.92, 2.570, 65
0 2 2, 36.16, 2.484, 49

Structure:
Cell: 8.1215 6.6493 8.1842 Å, 90.00 114.03 90.00°
Space group P2_1/m (No. 11)
One atom of each set of equivalent atoms:
Pm 0.1525 0.2500 0.0294 (multiplicity 2)
Pr 0.0162 0.2500 0.3812 (multiplicity 2)
Pr 0.2554 0.7500 0.3408 (multiplicity 2)
Pr 0.4120 0.0052 0.7697 (multiplicity 4)
Rh 0.2292 0.7500 0.9895 (multiplicity 2)
Rh 0.3669 0.2500 0.4021 (multiplicity 2)

[6]
This entry pairs a crystal structure of PmPr3Rh3 with its computed PXRD pattern. Radiation: Cu Ka. Structure: a GGA-PBE-relaxed structure.
Peak positions follow from Bragg's law for the DFT cell and can differ from measured ones.

Principal peaks in the range 2θ from 10° to 80°, low angle first:
(hkl), 2theta, d [Å], Rel. int.
1 1 3, 29.44, 3.033, 80
2 1 3, 32.12, 2.787, 50
3 1 2, 33.15, 2.702, 48
3 1 3, 36.19, 2.482, 50
4 1 0, 36.36, 2.471, 100
0 2 0, 42.94, 2.106, 61

Structure:
Cell: 12.2128 4.2127 14.0460 Å, 90.00 90.00 90.00°
Space group Pnma (No. 62)
One atom of each set of equivalent atoms:
Pm 0.0219 0.2500 0.1856 (multiplicity 4)
Pr 0.0478 0.2500 0.5987 (multiplicity 4)
Pr 0.1854 0.7500 0.0215 (multiplicity 4)
Pr 0.2486 0.2500 0.8051 (multiplicity 4)
Rh 0.0520 0.2500 0.9357 (multiplicity 4)
Rh 0.1124 0.2500 0.3874 (multiplicity 4)
Rh 0.2244 0.7500 0.6609 (multiplicity 4)

[7]
This entry pairs a crystal structure of Pm12PrRh7 with its computed PXRD pattern. Radiation: Cu Ka. Structure: a GGA-PBE-relaxed structure.
Peak positions follow from Bragg's law for the DFT cell and can differ from measured ones.

Principal peaks in the range 2θ from 10° to 80°, low angle first:
(hkl), 2theta, d [Å], Rel. int.
1 3 1, 27.19, 3.279, 29
4 -1 2, 31.38, 2.850, 100
1 3 4, 44.72, 2.027, 37
5 2 0, 45.24, 2.005, 36
2 6 2, 56.09, 1.640, 19
5 2 6, 74.04, 1.280, 16

Structure:
Cell: 14.4548 14.4548 9.9838 Å, 90.00 90.00 120.00°
Space group R-3 (No. 148, hexagonal axes)
One atom of each set of equivalent atoms:
Pm 0.0295 0.4390 0.1660 (multiplicity 18)
Pm 0.0485 0.8724 0.8338 (multiplicity 18)
Pr 0.0000 0.0000 0.5000 (multiplicity 3)
Rh 0.0000 0.0000 0.0000 (multiplicity 3)
Rh 0.0517 0.8650 0.3256 (multiplicity 18)

[8]
This entry pairs a crystal structure of PmPr3Rh with its computed PXRD pattern. Radiation: Cu Ka. Structure: a GGA-PBE-relaxed structure.
Peak positions follow from Bragg's law for the DFT cell and can differ from measured ones.

Principal peaks in the range 2θ from 10° to 80°, low angle first:
(hkl), 2theta, d [Å], Rel. int.
2 0 2, 28.63, 3.118, 63
2 2 0, 29.05, 3.074, 94
0 2 2, 29.23, 3.055, 100
3 1 0, 32.02, 2.795, 54
0 1 3, 32.39, 2.764, 50
0 3 1, 33.13, 2.704, 79

Structure:
Cell: 8.8772 8.5236 8.7645 Å, 90.00 90.00 90.00°
Space group Ima2 (No. 46)
One atom of each set of equivalent atoms:
Pm 0.2500 0.0426 0.0000 (multiplicity 4)
Pr 0.0511 0.7096 0.2010 (multiplicity 8)
Pr 0.2500 0.0411 0.3999 (multiplicity 4)
Rh 0.2500 0.1306 0.7018 (multiplicity 4)

[9]
This entry pairs a crystal structure of Pm12PrRh6 with its computed PXRD pattern. Radiation: Cu Ka. Structure: a GGA-PBE-relaxed structure.
Peak positions follow from Bragg's law for the DFT cell and can differ from measured ones.

Principal peaks in the range 2θ from 10° to 80°, low angle first:
(hkl), 2theta, d [Å], Rel. int.
1 3 1, 28.54, 3.128, 100
1 1 3, 29.50, 3.028, 48
3 2 1, 34.13, 2.627, 36
0 3 3, 34.95, 2.567, 46
0 4 2, 35.08, 2.558, 42
5 0 2, 42.07, 2.148, 51

Structure:
Cell: 13.6929 13.6929 10.1269 Å, 90.00 90.00 120.00°
Space group R-3m (No. 166, hexagonal axes)
One atom of each set of equivalent atoms:
Pm 0.0000 0.3776 0.0000 (multiplicity 18)
Pm 0.0867 0.1735 0.8542 (multiplicity 18)
Pr 0.0000 0.0000 0.5000 (multiplicity 3)
Rh 0.0411 0.5205 0.7641 (multiplicity 18)

[10]
This entry pairs a crystal structure of PmPrSb2Rh5 with its computed PXRD pattern. Radiation: Cu Ka. Structure: a GGA-PBE-relaxed structure.
Peak positions follow from Bragg's law for the DFT cell and can differ from measured ones.

Principal peaks in the range 2θ from 10° to 80°, low angle first:
(hkl), 2theta, d [Å], Rel. int.
1 0 2, 28.02, 3.185, 32
1 1 2, 34.55, 2.596, 100
2 0 0, 40.25, 2.241, 83
1 1 3, 41.31, 2.185, 55
2 2 0, 58.23, 1.584, 28
3 1 2, 69.51, 1.352, 25

Structure:
Cell: 4.4812 4.4812 9.0547 Å, 90.00 90.00 90.00°
Space group P4/mmm (No. 123)
One atom of each set of equivalent atoms:
Pm 0.0000 0.0000 0.0000 (multiplicity 1)
Pr 0.0000 0.0000 0.5000 (multiplicity 1)
Sb 0.5000 0.5000 0.3399 (multiplicity 2)
Rh 0.0000 0.5000 0.2113 (multiplicity 4)
Rh 0.5000 0.5000 0.0000 (multiplicity 1)

[11]
This entry pairs a crystal structure of PmPrZnRh with its computed PXRD pattern. Radiation: Cu Ka. Structure: a GGA-PBE-relaxed structure.
Peak positions follow from Bragg's law for the DFT cell and can differ from measured ones.

Principal peaks in the range 2θ from 10° to 80°, low angle first:
(hkl), 2theta, d [Å], Rel. int.
1 1 1, 31.00, 2.885, 100
0 0 4, 32.73, 2.736, 23
0 1 3, 33.11, 2.706, 40
1 0 4, 38.62, 2.331, 23
1 1 3, 38.94, 2.313, 60
2 0 0, 40.50, 2.227, 29

Structure:
Cell: 4.4548 4.0346 10.9434 Å, 90.00 90.00 90.00°
Space group Amm2 (No. 38)
One atom of each set of equivalent atoms:
Pm 0.0000 0.0000 0.0000 (multiplicity 2)
Pr 0.5000 0.0000 0.2776 (multiplicity 2)
Zn 0.0000 0.0000 0.7067 (multiplicity 2)
Rh 0.5000 0.0000 0.5656 (multiplicity 2)

[12]
This entry pairs a crystal structure of Pm6PrRu4 with its computed PXRD pattern. Radiation: Cu Ka. Structure: a GGA-PBE-relaxed structure.
Peak positions follow from Bragg's law for the DFT cell and can differ from measured ones.

Principal peaks in the range 2θ from 10° to 80°, low angle first:
(hkl), 2theta, d [Å], Rel. int.
2 1 1, 28.70, 3.110, 65
2 0 2, 29.33, 3.045, 100
2 2 0, 35.08, 2.558, 41
1 1 4, 36.37, 2.470, 59
2 1 3, 36.64, 2.453, 98
3 0 1, 38.16, 2.358, 45

Structure:
Cell: 7.2344 7.2344 11.2832 Å, 90.00 90.00 90.00°
Space group I-42m (No. 121)
One atom of each set of equivalent atoms:
Pm 0.0000 0.5000 0.0000 (multiplicity 4)
Pm 0.1811 0.1811 0.2862 (multiplicity 8)
Pr 0.0000 0.0000 0.0000 (multiplicity 2)
Ru 0.1615 0.1615 0.5731 (multiplicity 8)

[13]
This entry pairs a crystal structure of Pm2Pr2Ru3 with its computed PXRD pattern. Radiation: Cu Ka. Structure: a GGA-PBE-relaxed structure.
Peak positions follow from Bragg's law for the DFT cell and can differ from measured ones.

Principal peaks in the range 2θ from 10° to 80°, low angle first:
(hkl), 2theta, d [Å], Rel. int.
1 0 4, 25.48, 3.496, 22
1 1 0, 35.99, 2.496, 100
0 1 8, 36.69, 2.449, 95
2 0 8, 52.34, 1.748, 34
3 0 0, 64.69, 1.441, 18
1 2 8, 65.15, 1.432, 35

Structure:
Cell: 4.9913 4.9913 23.7822 Å, 90.00 90.00 120.00°
Space group R-3m (No. 166, hexagonal axes)
One atom of each set of equivalent atoms:
Pm 0.0000 0.0000 0.1249 (multiplicity 6)
Pr 0.0000 0.0000 0.3755 (multiplicity 6)
Ru 0.0000 0.0000 0.2480 (multiplicity 6)
Ru 0.0000 0.0000 0.5000 (multiplicity 3)